[1]
Simulated powder X-ray diffraction pattern of Ho5Co19P12 for Cu Kα, from a structure optimized by DFT (GGA-PBE).
Lines closer than 0.1° are merged.

Cell lengths 11.9676, 11.9676, 3.6651 Å; angles 90.00, 90.00, 120.00 degrees
Space group P-62m (No. 189)
Unique sites:
Ho 0.0000 0.1871 0.0000 x3
Ho 0.3333 0.6667 0.5000 x2
Co 0.0000 0.0000 0.5000 x1
Co 0.0000 0.5526 0.5000 x3
Co 0.0000 0.7149 0.0000 x3
Co 0.1255 0.4840 0.0000 x6
Co 0.1782 0.8005 0.5000 x6
P 0.0000 0.3681 0.5000 x3
P 0.0000 0.8194 0.5000 x3
P 0.1660 0.6859 0.0000 x6

Largest 12 diffraction maxima, in order of rising 2θ, 10° ≤ 2θ ≤ 90°:
| 2theta | intensity | h k l |
| --- | --- | --- |
| 28.6 | 11 | 1 1 1 |
| 29.9 | 12 | 2 2 0 |
| 35.7 | 12 | 3 0 1 |
| 38.9 | 100 | 2 2 1 |
| 39.9 | 46 | 4 1 0 |
| 49.8 | 21 | 0 0 2 |
| 53.0 | 20 | 6 0 0 |
| 59.9 | 11 | 4 3 1 |
| 73.7 | 11 | 7 1 1 |
| 75.7 | 13 | 6 0 2 |
| 80.2 | 11 | 5 5 0 |
| 85.9 | 15 | 2 2 3 |

[2]
Simulated powder X-ray diffraction pattern of KNaMnN2 for Cu Kα, from a structure optimized by DFT (GGA-PBE).
Lines closer than 0.1° are merged.

Cell lengths 18.1429, 3.1815, 7.1463 Å; angles 90.00, 96.83, 90.00 degrees
Space group C2/m (No. 12)
Unique sites:
K 0.1027 0.0000 0.1354 x4
Na 0.1610 0.0000 0.5965 x4
Mn 0.0273 0.5000 0.6550 x4
N 0.0474 0.0000 0.7651 x4
N 0.0695 0.5000 0.4390 x4

Largest 12 diffraction maxima, in order of rising 2θ, 10° ≤ 2θ ≤ 90°:
| 2theta | intensity | h k l |
| --- | --- | --- |
| 12.5 | 60 | 0 0 1 |
| 22.1 | 21 | 4 0 -1 |
| 28.1 | 60 | 2 0 2 |
| 30.9 | 100 | 6 0 -1 |
| 31.5 | 20 | 1 1 1 |
| 31.8 | 61 | 3 1 0 |
| 33.6 | 44 | 3 1 -1 |
| 37.7 | 19 | 5 1 0 |
| 40.9 | 37 | 4 0 -3 |
| 43.6 | 24 | 8 0 1 |
| 47.6 | 19 | 5 1 2 |
| 58.0 | 20 | 0 2 0 |

[3]
Simulated powder X-ray diffraction pattern of La5NbN8 for Cu Kα, from a structure optimized by DFT (GGA-PBE).
Lines closer than 0.1° are merged.

Cell lengths 7.6377, 7.6377, 7.2274 Å; angles 90.00, 90.00, 90.00 degrees
Space group I-4 (No. 82)
Unique sites:
La 0.0000 0.0000 0.0000 x2
La 0.1348 0.7708 0.3757 x8
Nb 0.0000 0.5000 0.7500 x2
N 0.0402 0.5854 0.0320 x8
N 0.0859 0.8071 0.7268 x8

Largest 12 diffraction maxima, in order of rising 2θ, 10° ≤ 2θ ≤ 90°:
| 2theta | intensity | h k l |
| --- | --- | --- |
| 28.9 | 100 | 1 2 1 |
| 29.7 | 54 | 1 1 2 |
| 37.2 | 24 | 1 3 0 |
| 37.5 | 31 | 3 0 1 |
| 39.2 | 21 | 1 0 3 |
| 44.6 | 16 | 2 3 1 |
| 46.1 | 16 | 2 1 3 |
| 53.7 | 13 | 4 2 0 |
| 54.3 | 14 | 4 0 2 |
| 56.3 | 14 | 2 0 4 |
| 58.0 | 19 | 3 2 3 |
| 62.1 | 12 | 3 4 1 |

[4]
Simulated powder X-ray diffraction pattern of Pm2DyScS4 for Cu Kα, from a structure optimized by DFT (GGA-PBE).
Lines closer than 0.1° are merged.

Cell lengths 6.7423, 3.8697, 6.9044 Å; angles 90.00, 108.83, 90.00 degrees
Space group P2/m (No. 10)
Unique sites:
Pm 0.0000 0.0000 0.0000 x1
Pm 0.5000 0.5000 0.0000 x1
Dy 0.0000 0.5000 0.5000 x1
Sc 0.5000 0.0000 0.5000 x1
S 0.2514 0.0000 0.7323 x2
S 0.2653 0.5000 0.2730 x2

Largest 12 diffraction maxima, in order of rising 2θ, 10° ≤ 2θ ≤ 90°:
| 2theta | intensity | h k l |
| --- | --- | --- |
| 27.3 | 17 | 0 0 2 |
| 28.0 | 16 | 2 0 0 |
| 28.1 | 32 | 1 1 -1 |
| 32.3 | 100 | 1 1 1 |
| 45.7 | 12 | 2 0 2 |
| 45.9 | 24 | 1 1 -3 |
| 46.7 | 23 | 3 1 -1 |
| 47.0 | 11 | 0 2 0 |
| 58.1 | 12 | 2 2 -2 |
| 67.6 | 11 | 2 2 2 |
| 76.3 | 10 | 0 2 4 |
| 77.5 | 10 | 4 2 0 |

[5]
Simulated powder X-ray diffraction pattern of La3ThMg4 for Cu Kα, from a structure optimized by DFT (GGA-PBE).
Lines closer than 0.1° are merged.

Cell lengths 3.9094, 5.5557, 11.1279 Å; angles 90.00, 90.00, 90.00 degrees
Space group Pmmm (No. 47)
Unique sites:
La 0.0000 0.0000 0.0000 x1
La 0.0000 0.5000 0.2543 x2
Th 0.0000 0.0000 0.5000 x1
Mg 0.5000 0.0000 0.2534 x2
Mg 0.5000 0.5000 0.0000 x1
Mg 0.5000 0.5000 0.5000 x1

Largest 12 diffraction maxima, in order of rising 2θ, 10° ≤ 2θ ≤ 90°:
| 2theta | intensity | h k l |
| --- | --- | --- |
| 22.6 | 63 | 0 1 2 |
| 22.7 | 31 | 1 0 0 |
| 32.2 | 50 | 0 2 0 |
| 32.3 | 100 | 1 1 2 |
| 39.8 | 29 | 1 2 0 |
| 46.2 | 18 | 0 2 4 |
| 52.0 | 27 | 0 3 2 |
| 52.3 | 14 | 2 1 2 |
| 57.5 | 38 | 1 3 2 |
| 57.6 | 19 | 2 2 0 |
| 67.6 | 12 | 2 2 4 |
| 76.7 | 16 | 0 4 4 |

[6]
Simulated powder X-ray diffraction pattern of Fe2Co2Ni15 for Cu Kα, from a structure optimized by DFT (GGA-PBE).
Lines closer than 0.1° are merged.

Cell lengths 7.9888, 7.9888, 12.1942 Å; angles 90.00, 90.00, 120.00 degrees
Space group R-3m (No. 166, hexagonal axes)
Unique sites:
Fe 0.0000 0.0000 0.1991 x6
Co 0.0000 0.0000 0.4058 x6
Ni 0.0000 0.3176 0.5000 x18
Ni 0.0000 0.5000 0.0000 x9
Ni 0.0028 0.5014 0.6584 x18

Largest 12 diffraction maxima, in order of rising 2θ, 10° ≤ 2θ ≤ 90°:
| 2theta | intensity | h k l |
| --- | --- | --- |
| 14.7 | 14 | 1 0 1 |
| 22.3 | 17 | 1 1 0 |
| 39.1 | 34 | 3 0 0 |
| 44.6 | 33 | 0 0 6 |
| 45.2 | 100 | 0 3 3 |
| 45.4 | 65 | 2 2 0 |
| 50.4 | 36 | 1 1 6 |
| 50.9 | 81 | 2 2 3 |
| 75.1 | 18 | 3 3 3 |
| 79.0 | 16 | 4 1 6 |
| 83.9 | 27 | 6 0 0 |
| 86.9 | 15 | 2 2 9 |

[7]
Simulated powder X-ray diffraction pattern of Nd5ErTh for Cu Kα, from a structure optimized by DFT (GGA-PBE).
Lines closer than 0.1° are merged.

Cell lengths 7.0731, 10.4329, 7.0912 Å; angles 90.00, 108.90, 90.00 degrees
Space group C2/m (No. 12)
Unique sites:
Nd 0.0000 0.0000 0.0000 x2
Nd 0.1939 0.2872 0.7263 x8
Er 0.0000 0.5000 0.0000 x2
Th 0.0000 0.0000 0.5000 x2

Largest 12 diffraction maxima, in order of rising 2θ, 10° ≤ 2θ ≤ 90°:
| 2theta | intensity | h k l |
| --- | --- | --- |
| 23.2 | 15 | 1 1 1 |
| 30.0 | 22 | 1 3 -1 |
| 31.0 | 31 | 2 0 -2 |
| 31.7 | 100 | 0 2 2 |
| 34.4 | 16 | 0 4 0 |
| 39.1 | 7 | 1 1 -3 |
| 44.0 | 11 | 2 0 2 |
| 47.0 | 13 | 2 4 -2 |
| 48.9 | 8 | 1 5 1 |
| 55.6 | 12 | 2 2 -4 |
| 59.1 | 8 | 1 5 -3 |
| 60.0 | 9 | 0 6 2 |

[8]
Simulated powder X-ray diffraction pattern of NiS4Cl for Cu Kα, from a structure optimized by DFT (GGA-PBE).
Lines closer than 0.1° are merged.

Cell lengths 4.8651, 6.6579, 8.5112 Å; angles 103.54, 92.62, 90.56 degrees
Space group P-1 (No. 2)
Unique sites:
Ni 0.0000 0.0000 0.0000 x1
Ni 0.5000 0.5000 0.0000 x1
S 0.1347 0.2671 0.8848 x2
S 0.1822 0.5939 0.1918 x2
S 0.3411 0.7547 0.8703 x2
S 0.3605 0.0761 0.1958 x2
Cl 0.2521 0.2226 0.4326 x2

Largest 12 diffraction maxima, in order of rising 2θ, 10° ≤ 2θ ≤ 90°:
| 2theta | intensity | h k l |
| --- | --- | --- |
| 10.7 | 100 | 0 0 1 |
| 22.7 | 7 | 1 -1 0 |
| 26.1 | 4 | -1 1 1 |
| 27.1 | 16 | 0 2 -1 |
| 27.3 | 17 | 1 1 1 |
| 33.0 | 16 | -1 1 2 |
| 34.6 | 7 | 1 1 2 |
| 35.8 | 7 | 1 2 -2 |
| 36.3 | 6 | 1 -2 2 |
| 42.0 | 4 | -1 1 3 |
| 46.5 | 5 | 1 3 -2 |
| 58.4 | 5 | 0 2 4 |

Which formula does entry 8 have?
NiS4Cl